The following is a theoretical X-ray powder pattern of Cs3Sn4Au. It was derived from DFT lattice parameters and positions (GGA-PBE), using Cu Kα, 1.54184 Å.

Main lines, in order of rising 2θ (2θ = 5–70°):
hkl 0 2 0, 11.38 deg, rel. 100
hkl 1 1 0, 13.04 deg, rel. 49
hkl 2 0 0, 23.56 deg, rel. 40
hkl 1 3 1, 24.65 deg, rel. 59
hkl 2 2 1, 29.44 deg, rel. 79
hkl 0 3 2, 31.65 deg, rel. 44

Structural model:
```
data_Cs3Sn4Au
_symmetry_space_group_name_H-M 'P m m n'
_symmetry_Int_Tables_number 59
_cell_length_a 7.5514
_cell_length_b 15.5529
_cell_length_c 6.7494
_cell_angle_alpha 90.00
_cell_angle_beta 90.00
_cell_angle_gamma 90.00
loop_
_symmetry_equiv_pos_as_xyz
'x,y,z'
'-x,-y,-z'
'-x+1/2,-y+1/2,z'
'x+1/2,y+1/2,-z'
'x+1/2,-y,-z'
'-x+1/2,y,z'
'-x,y+1/2,-z'
'x,-y+1/2,z'
loop_
_atom_site_label
_atom_site_fract_x
_atom_site_fract_y
_atom_site_fract_z
Cs1 0.2500 0.0555 0.0747
Cs2 0.2500 0.2500 0.4852
Sn1 0.0465 0.7500 0.0652
Sn2 0.2500 0.6495 0.3687
Au1 0.2500 0.7500 0.7152
```